# TiAsPd
Computed PXRD pattern, Cu Kα X-rays. Input: a PBE-relaxed structure.
No peak broadening, texture or thermal motion is included.

Largest 12 diffraction maxima, sorted by position, 2θ = 10–90°:
2θ (°)  intensity  index
15.52  13  1 0 0
23.25  32  0 0 1
27.04  20  1 1 0
35.96  100  1 1 1
39.38  84  2 0 1
41.85  47  2 1 0
47.54  33  0 0 2
47.78  42  3 0 0
48.42  57  2 1 1
65.17  24  2 1 2
69.69  26  3 0 2
76.92  33  3 2 1

Structure:
a b c (Å): 6.5944 6.5944 3.8252
angles (deg): 90.00 90.00 120.00
Space group P-62m (No. 189)
Unique sites:
Ti  0.0000  0.5941  0.0000 (multiplicity 3)
As  0.0000  0.0000  0.0000 (multiplicity 1)
As  0.3333  0.6667  0.5000 (multiplicity 2)
Pd  0.0000  0.2622  0.5000 (multiplicity 3)